Record 1
Structure and computed XRD peak list of Cs2As2Pt (DFT lattice parameters and positions (PBE); Cu Kα).

Structure:
Unit cell a=8.3374 b=8.3374 c=6.5668 alpha=90.00 beta=90.00 gamma=129.76
Element x y z (fractional)
1 Cs 0.0850 0.9150 0.7500
2 Cs 0.2933 0.7067 0.2500
3 Cs 0.7067 0.2933 0.7500
4 Cs 0.9150 0.0850 0.2500
5 As 0.2280 0.4257 0.7500
6 As 0.4257 0.2280 0.2500
7 As 0.5743 0.7720 0.7500
8 As 0.7720 0.5743 0.2500
9 Pt 0.5000 0.5000 0.0000
10 Pt 0.5000 0.5000 0.5000

Peak list (10 most intense, 10 to 90 degrees two-theta, in order of rising 2θ)
Position (°2θ)  I (rel.)
11.72  65.3
13.82  73.5
25.16  41.0
25.61  100.0
30.59  33.2
31.05  51.2
32.23  43.3
35.01  49.2
47.86  34.0
49.00  35.1

=====

Record 2
Structure and computed XRD peak list of Li4Al2CdAg (DFT lattice parameters and positions (PBE); Cu Kα).

Structure:
Unit cell a=4.4736 b=4.4736 c=6.3391 alpha=90.00 beta=90.00 gamma=90.00
Element x y z (fractional)
1 Li 0.0000 0.0000 0.0000
2 Li 0.0000 0.5000 0.7435
3 Li 0.5000 0.0000 0.2565
4 Li 0.5000 0.5000 0.5000
5 Al 0.0000 0.5000 0.2646
6 Al 0.5000 0.0000 0.7354
7 Cd 0.5000 0.5000 0.0000
8 Ag 0.0000 0.0000 0.5000

Peak list (10 most intense, 10 to 90 degrees two-theta, in order of rising 2θ)
Position (°2θ)  I (rel.)
24.35  100.0
28.19  31.6
40.29  72.2
47.64  47.1
49.90  8.4
58.34  7.8
64.12  18.5
65.97  7.0
73.25  23.0
78.54  10.3